Entry 1:
This entry pairs a crystal structure of La4Sm2DySc with its simulated PXRD pattern. Radiation: Cu Kα. Structure: DFT lattice parameters and positions (GGA-PBE).
Lines closer than 0.1° are merged.

Peak list (10 most intense, 2θ = 5–70°, sorted by position)
2θ = 30.2°, I 1000
2θ = 34.5°, I 176
2θ = 34.7°, I 173
2θ = 35.9°, I 160
2θ = 49.7°, I 125
2θ = 50.6°, I 120
2θ = 59.1°, I 147
2θ = 59.4°, I 145
2θ = 61.0°, I 134
2θ = 62.8°, I 122

Structural model:
Cell: 5.1748 5.2036 10.0157 Å, 90.00 90.00 90.00°
Fractional positions:
La  0.0000  0.0000  0.2453
La  0.0000  0.0000  0.7547
La  0.5000  0.5000  0.2459
La  0.5000  0.5000  0.7541
Sm  0.0000  0.5000  0.0000
Sm  0.5000  0.0000  0.5000
Dy  0.0000  0.5000  0.5000
Sc  0.5000  0.0000  0.0000

***

Entry 2:
This entry pairs a crystal structure of CeTcPd with its simulated PXRD pattern. Radiation: Cu Kα. Structure: DFT lattice parameters and positions (GGA-PBE).
Lines closer than 0.1° are merged.

Peak list (10 most intense, 2θ = 5–70°, sorted by position)
2θ = 35.4°, I 399
2θ = 35.7°, I 108
2θ = 36.0°, I 130
2θ = 37.4°, I 469
2θ = 40.2°, I 1000
2θ = 40.5°, I 453
2θ = 43.9°, I 129
2θ = 52.5°, I 255
2θ = 63.5°, I 126
2θ = 69.3°, I 136

Structural model:
Cell: 14.4357 2.9116 2.9116 Å, 60.44 90.00 90.00°
Fractional positions:
Ce  0.1697  0.0000  0.0000
Ce  0.8303  0.0000  0.0000
Tc  0.0000  0.8167  0.8167
Tc  0.5000  0.9744  0.9744
Pd  0.3517  0.6384  0.6384
Pd  0.6483  0.6384  0.6384

***

Entry 3:
This entry pairs a crystal structure of BiSbP with its simulated PXRD pattern. Radiation: Cu Kα. Structure: DFT lattice parameters and positions (GGA-PBE).
Lines closer than 0.1° are merged.

Peak list (10 most intense, 2θ = 5–70°, sorted by position)
2θ = 12.1°, I 465
2θ = 27.5°, I 1000
2θ = 27.8°, I 430
2θ = 27.9°, I 405
2θ = 29.7°, I 418
2θ = 30.5°, I 631
2θ = 32.0°, I 466
2θ = 33.1°, I 369
2θ = 34.9°, I 454
2θ = 37.5°, I 377

Structural model:
Cell: 6.5682 3.6199 7.4737 Å, 90.00 101.98 90.00°
Fractional positions:
Bi  0.0000  0.0000  0.0000
Bi  0.4210  0.0000  0.8681
Sb  0.3809  0.5000  0.3026
Sb  0.7862  0.5000  0.6120
P  0.2470  0.0000  0.5016
P  0.9051  0.0000  0.4040

***

Entry 4:
This entry pairs a crystal structure of Pu3Pt8Au with its simulated PXRD pattern. Radiation: Cu Kα. Structure: DFT lattice parameters and positions (GGA-PBE).
Lines closer than 0.1° are merged.

Peak list (10 most intense, 2θ = 5–70°, sorted by position)
2θ = 20.1°, I 18
2θ = 30.3°, I 10
2θ = 33.1°, I 316
2θ = 39.0°, I 1000
2θ = 40.8°, I 356
2θ = 47.5°, I 31
2θ = 59.1°, I 120
2θ = 62.8°, I 11
2θ = 63.1°, I 327
2θ = 69.4°, I 279

Structural model:
Cell: 9.3781 9.3781 9.3781 Å, 33.55 33.55 33.55°
Fractional positions:
Pu  0.0000  0.0000  0.0000
Pu  0.1285  0.1285  0.1285
Pu  0.5110  0.5110  0.5110
Pt  0.0680  0.0680  0.5651
Pt  0.0680  0.5651  0.0680
Pt  0.0681  0.5677  0.5677
Pt  0.3173  0.3173  0.3173
Pt  0.5651  0.0680  0.0680
Pt  0.5677  0.0681  0.5677
Pt  0.5677  0.5677  0.0681
Pt  0.8175  0.8175  0.8175
Au  0.6327  0.6327  0.6327

***

Entry 5:
This entry pairs a crystal structure of TiSn with its simulated PXRD pattern. Radiation: Cu Kα. Structure: DFT lattice parameters and positions (GGA-PBE).
Lines closer than 0.1° are merged.

Peak list (10 most intense, 2θ = 5–70°, sorted by position)
2θ = 24.4°, I 381
2θ = 25.8°, I 396
2θ = 27.7°, I 486
2θ = 29.4°, I 402
2θ = 29.8°, I 444
2θ = 33.3°, I 269
2θ = 38.3°, I 796
2θ = 39.8°, I 1000
2θ = 41.2°, I 862
2θ = 49.2°, I 266

Structural model:
Cell: 2.9964 7.2988 7.2988 Å, 123.56 90.00 90.00°
Fractional positions:
Ti  0.0000  0.0000  0.0000
Ti  0.5000  0.1578  0.3797
Ti  0.5000  0.3797  0.1578
Sn  0.0000  0.2226  0.7546
Sn  0.0000  0.5915  0.5915
Sn  0.0000  0.7546  0.2226

***

Entry 6:
This entry pairs a crystal structure of Y5Te4P with its simulated PXRD pattern. Radiation: Cu Kα. Structure: DFT lattice parameters and positions (GGA-PBE).
Lines closer than 0.1° are merged.

Peak list (10 most intense, 2θ = 5–70°, sorted by position)
2θ = 28.3°, I 389
2θ = 29.9°, I 1000
2θ = 33.2°, I 354
2θ = 41.6°, I 538
2θ = 42.7°, I 368
2θ = 52.1°, I 277
2θ = 55.2°, I 163
2θ = 59.9°, I 181
2θ = 62.1°, I 119
2θ = 69.6°, I 114

Structural model:
Cell: 16.0363 16.0363 16.0363 Å, 164.84 164.84 21.50°
Fractional positions:
Y  0.0000  0.0000  0.0000
Y  0.2116  0.2116  0.0000
Y  0.4154  0.4154  0.0000
Y  0.5846  0.5846  0.0000
Y  0.7884  0.7884  0.0000
Te  0.1024  0.1024  0.0000
Te  0.3100  0.3100  0.0000
Te  0.6900  0.6900  0.0000
Te  0.8976  0.8976  0.0000
P  0.5000  0.5000  0.0000

***

Entry 7:
This entry pairs a crystal structure of CaZnGa2Pd2 with its simulated PXRD pattern. Radiation: Cu Kα. Structure: DFT lattice parameters and positions (GGA-PBE).
Lines closer than 0.1° are merged.

Peak list (10 most intense, 2θ = 5–70°, sorted by position)
2θ = 15.7°, I 577
2θ = 19.2°, I 263
2θ = 27.2°, I 362
2θ = 31.6°, I 218
2θ = 37.2°, I 1000
2θ = 38.9°, I 924
2θ = 42.2°, I 599
2θ = 54.9°, I 625
2θ = 56.2°, I 336
2θ = 69.3°, I 151

Structural model:
Cell: 4.6312 4.6312 5.6615 Å, 90.00 90.00 90.00°
Fractional positions:
Ca  0.0000  0.0000  0.0000
Zn  0.0000  0.0000  0.5000
Ga  0.0000  0.5000  0.5000
Ga  0.5000  0.0000  0.5000
Pd  0.5000  0.5000  0.2478
Pd  0.5000  0.5000  0.7522

***

Entry 8:
This entry pairs a crystal structure of Li2VN2 with its simulated PXRD pattern. Radiation: Cu Kα. Structure: DFT lattice parameters and positions (GGA-PBE).
Lines closer than 0.1° are merged.

Peak list (10 most intense, 2θ = 5–70°, sorted by position)
2θ = 18.1°, I 162
2θ = 22.6°, I 1000
2θ = 27.1°, I 247
2θ = 30.9°, I 390
2θ = 41.6°, I 140
2θ = 43.0°, I 500
2θ = 45.3°, I 223
2θ = 55.9°, I 135
2θ = 59.3°, I 148
2θ = 63.3°, I 196

Structural model:
Cell: 5.1218 5.1218 6.5782 Å, 90.00 90.00 145.64°
Fractional positions:
Li  0.1433  0.8567  0.5684
Li  0.1433  0.8567  0.9316
Li  0.8567  0.1433  0.0684
Li  0.8567  0.1433  0.4316
V  0.4100  0.5900  0.7500
V  0.5900  0.4100  0.2500
N  0.2063  0.7937  0.2500
N  0.5000  0.5000  0.0000
N  0.5000  0.5000  0.5000
N  0.7937  0.2063  0.7500

***

Entry 9:
This entry pairs a crystal structure of YTa2 with its simulated PXRD pattern. Radiation: Cu Kα. Structure: DFT lattice parameters and positions (GGA-PBE).
Lines closer than 0.1° are merged.

Peak list (10 most intense, 2θ = 5–70°, sorted by position)
2θ = 20.6°, I 37
2θ = 25.5°, I 135
2θ = 36.0°, I 1000
2θ = 36.8°, I 926
2θ = 44.7°, I 33
2θ = 47.6°, I 36
2θ = 52.4°, I 337
2θ = 62.6°, I 67
2θ = 64.8°, I 182
2θ = 65.2°, I 349

Structural model:
Cell: 4.9871 4.9871 5.9319 Å, 90.00 90.00 120.00°
Fractional positions:
Y  0.3333  0.6667  0.2500
Y  0.6667  0.3333  0.7500
Ta  0.0000  0.0000  0.0000
Ta  0.0000  0.0000  0.5000
Ta  0.3333  0.6667  0.7500
Ta  0.6667  0.3333  0.2500

***

Entry 10:
This entry pairs a crystal structure of BiAuS2 with its simulated PXRD pattern. Radiation: Cu Kα. Structure: DFT lattice parameters and positions (GGA-PBE).
Lines closer than 0.1° are merged.

Peak list (10 most intense, 2θ = 5–70°, sorted by position)
2θ = 13.3°, I 454
2θ = 14.3°, I 410
2θ = 25.2°, I 412
2θ = 25.3°, I 509
2θ = 30.7°, I 751
2θ = 33.4°, I 1000
2θ = 36.1°, I 491
2θ = 38.4°, I 356
2θ = 43.3°, I 279
2θ = 52.0°, I 325

Structural model:
Cell: 7.5354 7.5354 4.2323 Å, 94.22 94.22 123.63°
Fractional positions:
Bi  0.2178  0.7822  0.7500
Bi  0.7822  0.2178  0.2500
Au  0.3905  0.6095  0.2500
Au  0.6095  0.3905  0.7500
S  0.1213  0.3725  0.8142
S  0.3725  0.1213  0.3142
S  0.6275  0.8787  0.6858
S  0.8787  0.6275  0.1858

***

Entry 11:
This entry pairs a crystal structure of Ca5Al4 with its simulated PXRD pattern. Radiation: Cu Kα. Structure: DFT lattice parameters and positions (GGA-PBE).
Lines closer than 0.1° are merged.

Peak list (10 most intense, 2θ = 5–70°, sorted by position)
2θ = 23.3°, I 40
2θ = 32.2°, I 127
2θ = 33.1°, I 1000
2θ = 42.4°, I 35
2θ = 47.6°, I 152
2θ = 55.6°, I 41
2θ = 59.1°, I 173
2θ = 62.1°, I 37
2θ = 65.6°, I 55
2θ = 66.3°, I 112

Structural model:
Cell: 9.3782 9.3782 6.6072 Å, 90.00 90.00 120.00°
Fractional positions:
Ca  0.0000  0.2933  0.2500
Ca  0.0000  0.7067  0.7500
Ca  0.2933  0.0000  0.2500
Ca  0.2933  0.2933  0.7500
Ca  0.3333  0.6667  0.0000
Ca  0.3333  0.6667  0.5000
Ca  0.6667  0.3333  0.0000
Ca  0.6667  0.3333  0.5000
Ca  0.7067  0.0000  0.7500
Ca  0.7067  0.7067  0.2500
Al  0.0000  0.0000  0.0000
Al  0.0000  0.0000  0.5000
Al  0.0000  0.3664  0.7500
Al  0.0000  0.6336  0.2500
Al  0.3664  0.0000  0.7500
Al  0.3664  0.3664  0.2500
Al  0.6336  0.0000  0.2500
Al  0.6336  0.6336  0.7500